Theoretical powder diffractogram
Compound: Pm2ZnAg7
Radiation: CuKα
Structure: DFT lattice parameters and positions (PBE)

Cell and atoms:
Unit cell a=9.9332 b=9.9332 c=9.9332 alpha=90.00 beta=90.00 gamma=90.00
Space group Fm-3m (No. 225)
One atom of each set of equivalent atoms:
Pm  0.2500  0.2500  0.2500
Zn  0.0000  0.0000  0.0000
Ag  0.0000  0.0000  0.2424
Ag  0.0000  0.0000  0.5000

Principal peaks in the range 15° ≤ 2θ ≤ 90°, in order of rising 2θ:
(2 2 0), 2θ = 25.36°, d 3.512, rel. 25; (2 2 2), 2θ = 31.19°, d 2.867, rel. 92; (4 0 0), 2θ = 36.17°, d 2.483, rel. 100; (4 2 2), 2θ = 44.69°, d 2.028, rel. 11; (4 4 0), 2θ = 52.08°, d 1.756, rel. 67; (6 2 2), 2θ = 61.97°, d 1.497, rel. 36; (4 4 4), 2θ = 65.05°, d 1.434, rel. 22; (8 0 0), 2θ = 76.76°, d 1.242, rel. 10; (6 6 2), 2θ = 85.16°, d 1.139, rel. 15; (8 4 0), 2θ = 87.92°, d 1.111, rel. 29



Theoretical powder diffractogram
Compound: Pm3Zn2Ag3
Radiation: CuKα
Structure: DFT lattice parameters and positions (PBE)

Cell and atoms:
Unit cell a=8.1612 b=16.2803 c=5.6623 alpha=90.00 beta=90.00 gamma=90.00
Space group Pnma (No. 62)
One atom of each set of equivalent atoms:
Pm  0.0434  0.1066  0.1301
Pm  0.1770  0.2500  0.6337
Zn  0.1093  0.6101  0.3698
Ag  0.1724  0.7500  0.6324
Ag  0.1810  0.0343  0.5983

Principal peaks in the range 15° ≤ 2θ ≤ 90°, in order of rising 2θ:
(1 4 1), 2θ = 29.15°, d 3.064, rel. 62; (2 4 0), 2θ = 31.03°, d 2.882, rel. 99; (0 6 0), 2θ = 33.01°, d 2.713, rel. 36; (1 0 2), 2θ = 33.53°, d 2.673, rel. 83; (1 1 2), 2θ = 33.97°, d 2.639, rel. 48; (2 4 1), 2θ = 34.94°, d 2.568, rel. 100; (3 0 1), 2θ = 36.65°, d 2.452, rel. 72; (1 3 2), 2θ = 37.49°, d 2.399, rel. 74; (1 4 2), 2θ = 40.35°, d 2.235, rel. 74; (4 0 1), 2θ = 47.36°, d 1.919, rel. 36



Theoretical powder diffractogram
Compound: Pm2Zn3Ag
Radiation: CuKα
Structure: DFT lattice parameters and positions (PBE)

Cell and atoms:
Unit cell a=7.0013 b=9.3004 c=16.0961 alpha=90.00 beta=90.00 gamma=90.00
Space group Fmmm (No. 69)
One atom of each set of equivalent atoms:
Pm  0.2448  0.0000  0.0000
Pm  0.2500  0.2500  0.2500
Zn  0.0000  0.0000  0.3369
Zn  0.0000  0.2454  0.4178
Ag  0.0000  0.0000  0.1673

Principal peaks in the range 15° ≤ 2θ ≤ 90°, in order of rising 2θ:
(0 2 2), 2θ = 22.08°, d 4.026, rel. 12; (2 0 4), 2θ = 33.94°, d 2.642, rel. 100; (0 4 0), 2θ = 38.74°, d 2.324, rel. 64; (4 0 0), 2θ = 52.26°, d 1.750, rel. 9; (2 4 4), 2θ = 52.44°, d 1.745, rel. 29; (4 4 0), 2θ = 66.92°, d 1.398, rel. 24; (2 2 10), 2θ = 67.07°, d 1.395, rel. 27; (0 6 6), 2θ = 70.13°, d 1.342, rel. 11; (0 8 0), 2θ = 83.12°, d 1.162, rel. 7; (6 0 4), 2θ = 86.92°, d 1.121, rel. 7



Theoretical powder diffractogram
Compound: Pm2Zn6Ag9
Radiation: CuKα
Structure: DFT lattice parameters and positions (PBE)

Cell and atoms:
Unit cell a=5.6133 b=5.6133 c=13.0951 alpha=90.00 beta=90.00 gamma=120.00
Space group P6/mmm (No. 191)
One atom of each set of equivalent atoms:
Pm  0.0000  0.0000  0.1660
Zn  0.3333  0.6667  0.1657
Zn  0.3333  0.6667  0.5000
Ag  0.0000  0.5000  0.0000
Ag  0.0000  0.5000  0.3332

Principal peaks in the range 15° ≤ 2θ ≤ 90°, in order of rising 2θ:
(1 0 0), 2θ = 18.25°, d 4.861, rel. 20; (1 0 3), 2θ = 27.46°, d 3.248, rel. 37; (2 0 0), 2θ = 36.98°, d 2.431, rel. 58; (1 1 3), 2θ = 38.12°, d 2.361, rel. 100; (0 0 6), 2θ = 41.37°, d 2.183, rel. 35; (2 0 3), 2θ = 42.57°, d 2.124, rel. 56; (2 0 6), 2θ = 56.68°, d 1.624, rel. 32; (3 0 3), 2θ = 60.99°, d 1.519, rel. 24; (2 2 0), 2θ = 66.65°, d 1.403, rel. 24; (2 2 6), 2θ = 81.55°, d 1.180, rel. 27



Theoretical powder diffractogram
Compound: Pm4Zn5Ag3
Radiation: CuKα
Structure: DFT lattice parameters and positions (PBE)

Cell and atoms:
Unit cell a=13.8469 b=4.8053 c=10.9664 alpha=90.00 beta=129.05 gamma=90.00
Space group C2/m (No. 12)
One atom of each set of equivalent atoms:
Pm  0.0138  0.0000  0.2721
Pm  0.2431  0.0000  0.7283
Zn  0.0000  0.0000  0.0000
Zn  0.0703  0.5000  0.6401
Zn  0.2118  0.5000  0.9377
Ag  0.0000  0.5000  0.0000
Ag  0.1892  0.5000  0.5018

Principal peaks in the range 15° ≤ 2θ ≤ 90°, in order of rising 2θ:
(1 1 -2), 2θ = 25.12°, d 3.545, rel. 36; (3 1 -2), 2θ = 27.30°, d 3.267, rel. 33; (3 1 -3), 2θ = 31.15°, d 2.872, rel. 71; (1 1 2), 2θ = 32.87°, d 2.725, rel. 60; (4 0 -4), 2θ = 33.36°, d 2.686, rel. 83; (0 2 0), 2θ = 37.43°, d 2.403, rel. 73; (5 1 -2), 2θ = 37.82°, d 2.379, rel. 100; (5 1 -3), 2θ = 37.87°, d 2.375, rel. 29; (4 2 -4), 2θ = 51.00°, d 1.791, rel. 50; (5 3 -2), 2θ = 67.79°, d 1.382, rel. 22



Theoretical powder diffractogram
Compound: Pr3Ag5
Radiation: CuKα
Structure: DFT lattice parameters and positions (PBE)

Cell and atoms:
Unit cell a=6.2168 b=18.0833 c=14.4896 alpha=90.00 beta=90.00 gamma=90.00
Space group Fdd2 (No. 43)
One atom of each set of equivalent atoms:
Pr  0.0000  0.0000  0.0000
Pr  0.0609  0.3312  0.9933
Ag  0.0000  0.0000  0.5537
Ag  0.0469  0.3347  0.4153
Ag  0.0983  0.3085  0.6057

Principal peaks in the range 15° ≤ 2θ ≤ 90°, in order of rising 2θ:
(1 3 3), 2θ = 27.68°, d 3.223, rel. 77; (2 0 2), 2θ = 31.31°, d 2.857, rel. 74; (0 6 2), 2θ = 32.17°, d 2.783, rel. 100; (2 2 2), 2θ = 32.88°, d 2.724, rel. 29; (1 1 5), 2θ = 34.51°, d 2.599, rel. 34; (2 4 0), 2θ = 35.03°, d 2.561, rel. 45; (1 3 5), 2θ = 37.35°, d 2.408, rel. 95; (2 6 0), 2θ = 41.74°, d 2.164, rel. 54; (1 7 3), 2θ = 42.25°, d 2.139, rel. 21; (1 3 7), 2θ = 48.77°, d 1.867, rel. 30



Theoretical powder diffractogram
Compound: PrAg12
Radiation: CuKα
Structure: DFT lattice parameters and positions (PBE)

Cell and atoms:
Unit cell a=9.6248 b=9.6248 c=5.5408 alpha=90.00 beta=90.00 gamma=90.00
Space group I4/mmm (No. 139)
One atom of each set of equivalent atoms:
Pr  0.0000  0.0000  0.0000
Ag  0.0000  0.2156  0.5000
Ag  0.0000  0.3518  0.0000
Ag  0.2500  0.2500  0.2500

Principal peaks in the range 15° ≤ 2θ ≤ 90°, in order of rising 2θ:
(0 0 2), 2θ = 32.26°, d 2.775, rel. 26; (4 0 0), 2θ = 37.41°, d 2.404, rel. 100; (2 2 2), 2θ = 42.02°, d 2.150, rel. 52; (4 4 0), 2θ = 53.92°, d 1.700, rel. 5; (3 2 3), 2θ = 61.00°, d 1.519, rel. 9; (6 0 2), 2θ = 67.45°, d 1.389, rel. 21; (8 0 0), 2θ = 79.73°, d 1.203, rel. 8; (4 0 4), 2θ = 79.90°, d 1.201, rel. 6; (4 2 4), 2θ = 82.86°, d 1.165, rel. 5; (6 3 3), 2θ = 85.75°, d 1.133, rel. 5



Theoretical powder diffractogram
Compound: Pr3Ag
Radiation: CuKα
Structure: DFT lattice parameters and positions (PBE)

Cell and atoms:
Unit cell a=12.6612 b=12.6612 c=6.3445 alpha=90.00 beta=90.00 gamma=90.00
Space group I-4 (No. 82)
One atom of each set of equivalent atoms:
Pr  0.0309  0.3634  0.4798
Pr  0.0745  0.8863  0.2610
Pr  0.1815  0.7719  0.7463
Ag  0.0409  0.2942  0.9823

Principal peaks in the range 15° ≤ 2θ ≤ 90°, in order of rising 2θ:
(2 3 1), 2θ = 29.06°, d 3.072, rel. 100; (1 1 2), 2θ = 29.90°, d 2.988, rel. 94; (2 4 0), 2θ = 31.59°, d 2.832, rel. 76; (4 1 1), 2θ = 32.39°, d 2.764, rel. 100; (2 2 2), 2θ = 34.66°, d 2.588, rel. 38; (5 1 0), 2θ = 36.15°, d 2.485, rel. 72; (2 3 3), 2θ = 50.39°, d 1.811, rel. 31; (3 5 2), 2θ = 50.98°, d 1.791, rel. 24; (4 1 3), 2θ = 52.56°, d 1.741, rel. 26; (1 7 2), 2θ = 59.26°, d 1.559, rel. 27



Theoretical powder diffractogram
Compound: Pr2Zn2AgPt5
Radiation: CuKα
Structure: DFT lattice parameters and positions (PBE)

Cell and atoms:
Unit cell a=9.7513 b=9.7513 c=3.9000 alpha=90.00 beta=90.00 gamma=90.00
Space group P4/mbm (No. 127)
One atom of each set of equivalent atoms:
Pr  0.1792  0.3208  0.0000
Zn  0.1188  0.6188  0.0000
Ag  0.0000  0.0000  0.0000
Pt  0.0000  0.5000  0.5000
Pt  0.0638  0.7926  0.5000

Principal peaks in the range 15° ≤ 2θ ≤ 90°, in order of rising 2θ:
(2 1 1), 2θ = 30.76°, d 2.907, rel. 28; (2 2 1), 2θ = 34.73°, d 2.583, rel. 29; (3 1 1), 2θ = 37.17°, d 2.419, rel. 100; (4 1 0), 2θ = 38.05°, d 2.365, rel. 55; (3 2 1), 2θ = 40.59°, d 2.222, rel. 45; (4 2 0), 2θ = 41.41°, d 2.180, rel. 16; (0 0 2), 2θ = 46.57°, d 1.950, rel. 30; (4 1 2), 2θ = 61.65°, d 1.505, rel. 27; (6 3 0), 2θ = 64.06°, d 1.454, rel. 17; (7 1 1), 2θ = 72.73°, d 1.300, rel. 16



Theoretical powder diffractogram
Compound: Pr2PuAgTe5
Radiation: CuKα
Structure: DFT lattice parameters and positions (PBE)

Cell and atoms:
Unit cell a=4.4295 b=19.0063 c=13.3747 alpha=90.00 beta=90.00 gamma=90.00
Space group Cmc2_1 (No. 36)
One atom of each set of equivalent atoms:
Pr  0.0000  0.1119  0.0000
Pr  0.0000  0.1254  0.6203
Pu  0.0000  0.1961  0.3222
Ag  0.0000  0.4333  0.7743
Te  0.0000  0.0439  0.3916
Te  0.0000  0.2888  0.9832
Te  0.0000  0.3069  0.6544
Te  0.0000  0.3612  0.3141
Te  0.0000  0.4989  0.0919

Principal peaks in the range 15° ≤ 2θ ≤ 90°, in order of rising 2θ:
(1 1 2), 2θ = 24.55°, d 3.626, rel. 19; (1 1 3), 2θ = 28.80°, d 3.100, rel. 100; (0 6 1), 2θ = 28.97°, d 3.082, rel. 50; (1 5 2), 2θ = 33.85°, d 2.648, rel. 77; (1 3 4), 2θ = 36.54°, d 2.459, rel. 14; (1 5 3), 2θ = 37.12°, d 2.422, rel. 16; (2 0 0), 2θ = 40.74°, d 2.215, rel. 31; (1 5 4), 2θ = 41.31°, d 2.186, rel. 15; (0 2 6), 2θ = 41.61°, d 2.170, rel. 13; (2 6 1), 2θ = 50.76°, d 1.799, rel. 21



Theoretical powder diffractogram
Compound: RbPrAgTe3
Radiation: CuKα
Structure: DFT lattice parameters and positions (PBE)

Cell and atoms:
Unit cell a=4.4784 b=17.2921 c=11.6026 alpha=90.00 beta=90.00 gamma=90.00
Space group Cmcm (No. 63)
One atom of each set of equivalent atoms:
Rb  0.0000  0.2477  0.2500
Pr  0.0000  0.0000  0.0000
Ag  0.0000  0.4761  0.7500
Te  0.0000  0.0786  0.7500
Te  0.0000  0.3743  0.5623

Principal peaks in the range 15° ≤ 2θ ≤ 90°, in order of rising 2θ:
(0 2 3), 2θ = 25.21°, d 3.533, rel. 73; (1 3 1), 2θ = 26.35°, d 3.383, rel. 100; (1 3 2), 2θ = 29.58°, d 3.020, rel. 92; (0 0 4), 2θ = 30.83°, d 2.901, rel. 34; (1 5 2), 2θ = 36.29°, d 2.476, rel. 77; (0 4 4), 2θ = 37.32°, d 2.409, rel. 21; (2 0 0), 2θ = 40.27°, d 2.239, rel. 43; (1 3 5), 2θ = 46.83°, d 1.940, rel. 34; (1 7 3), 2θ = 48.16°, d 1.889, rel. 32; (2 6 3), 2θ = 57.33°, d 1.607, rel. 21



Theoretical powder diffractogram
Compound: Pr6AgRh2
Radiation: CuKα
Structure: DFT lattice parameters and positions (PBE)

Cell and atoms:
Unit cell a=9.5812 b=10.1046 c=10.7527 alpha=90.00 beta=90.00 gamma=90.00
Space group Immm (No. 71)
One atom of each set of equivalent atoms:
Pr  0.0000  0.1974  0.2284
Pr  0.1945  0.5000  0.1704
Pr  0.2090  0.3225  0.5000
Ag  0.0000  0.0000  0.0000
Ag  0.0000  0.0000  0.5000
Rh  0.0000  0.3381  0.0000
Rh  0.0000  0.5000  0.3665

Principal peaks in the range 15° ≤ 2θ ≤ 90°, in order of rising 2θ:
(3 1 0), 2θ = 29.33°, d 3.045, rel. 27; (2 2 2), 2θ = 30.63°, d 2.919, rel. 100; (2 1 3), 2θ = 32.43°, d 2.761, rel. 75; (1 3 2), 2θ = 32.74°, d 2.736, rel. 98; (2 3 1), 2θ = 33.58°, d 2.669, rel. 65; (3 2 1), 2θ = 34.25°, d 2.618, rel. 38; (4 0 0), 2θ = 37.55°, d 2.395, rel. 32; (3 0 3), 2θ = 37.73°, d 2.384, rel. 27; (2 5 3), 2θ = 55.62°, d 1.652, rel. 27; (5 3 2), 2θ = 57.95°, d 1.591, rel. 54



- Number 12 is which compound?
  Pr6AgRh2



- What is the formula in the twelfth record?
  Pr6AgRh2